(1)
Simulated XRD peak list
Compound: LaPmRu2
Radiation: Cu Kα X-rays
Structure: a crystal structure in the Materials Project, relaxed with PBE
Kinematic intensities with the Lorentz-polarization factor, no thermal factor.

Structure:
Cell lengths 7.055, 7.055, 7.055 Å; angles 90.00, 90.00, 90.00 degrees
Space group Fm-3m (No. 225)
Inequivalent atoms, fractional coordinates:
La (0.000, 0.000, 0.000) x4
Pm (0.000, 0.000, 0.500) x4
Ru (0.250, 0.250, 0.250) x8

Peak list (9 most intense, 15° ≤ 2θ ≤ 90°, low angle first)
hkl 2 0 0, 25.25 deg, d 3.528, I 3
hkl 2 2 0, 36.00 deg, d 2.494, I 100
hkl 2 2 2, 44.48 deg, d 2.037, I 1
hkl 4 0 0, 51.83 deg, d 1.764, I 17
hkl 4 2 0, 58.50 deg, d 1.578, I 1
hkl 4 2 2, 64.73 deg, d 1.440, I 35
hkl 4 4 0, 76.35 deg, d 1.247, I 11
hkl 6 0 0, 81.93 deg, d 1.176, I 1
hkl 6 2 0, 87.43 deg, d 1.116, I 16

=====

(2)
Simulated XRD peak list
Compound: YEr2Al9
Radiation: Cu Kα X-rays
Structure: a crystal structure in the Materials Project, relaxed with PBE
Kinematic intensities with the Lorentz-polarization factor, no thermal factor.

Structure:
Cell lengths 6.1010, 6.1010, 28.6807 Å; angles 90.00, 90.00, 120.00 degrees
Space group P-6m2 (No. 187)
Inequivalent atoms, fractional coordinates:
Y (0.0000, 0.0000, 0.0000) x1
Y (0.0000, 0.0000, 0.3332) x2
Y (0.6667, 0.3333, 0.5000) x1
Er (0.3333, 0.6667, 0.0833) x2
Er (0.3333, 0.6667, 0.2502) x2
Er (0.3333, 0.6667, 0.4169) x2
Er (0.6667, 0.3333, 0.1667) x2
Al (0.1501, 0.3002, 0.5000) x3
Al (0.1504, 0.3007, 0.1667) x6
Al (0.3332, 0.1666, 0.4167) x6
Al (0.3343, 0.1672, 0.0836) x6
Al (0.3345, 0.1672, 0.2497) x6
Al (0.5164, 0.0329, 0.0000) x3
Al (0.5163, 0.0327, 0.3334) x6

Peak list (10 most intense, 15° ≤ 2θ ≤ 90°, low angle first)
hkl 1 0 0, 16.78 deg, d 5.284, I 25
hkl 1 0 3, 19.19 deg, d 4.624, I 26
hkl 1 0 6, 25.12 deg, d 3.545, I 99
hkl 1 1 0, 29.28 deg, d 3.050, I 48
hkl 2 0 3, 35.25 deg, d 2.546, I 31
hkl 0 0 12, 37.63 deg, d 2.390, I 30
hkl 2 0 6, 38.95 deg, d 2.312, I 100
hkl 1 1 12, 48.38 deg, d 1.881, I 24
hkl 2 2 0, 60.72 deg, d 1.525, I 30
hkl 2 2 12, 73.68 deg, d 1.286, I 24

=====

(3)
Simulated XRD peak list
Compound: MgSi2
Radiation: Cu Kα X-rays
Structure: a crystal structure in the Materials Project, relaxed with PBE
Kinematic intensities with the Lorentz-polarization factor, no thermal factor.

Structure:
Cell lengths 6.687, 7.270, 9.629 Å; angles 83.17, 88.11, 82.66 degrees
Space group P-1 (No. 2)
Inequivalent atoms, fractional coordinates:
Mg (0.019, 0.160, 0.362) x2
Mg (0.153, 0.812, 0.177) x2
Mg (0.285, 0.460, 0.718) x2
Mg (0.406, 0.808, 0.484) x2
Si (0.091, 0.612, 0.432) x2
Si (0.137, 0.726, 0.899) x2
Si (0.207, 0.209, 0.029) x2
Si (0.208, 0.144, 0.615) x2
Si (0.279, 0.013, 0.849) x2
Si (0.336, 0.493, 0.049) x2
Si (0.343, 0.418, 0.304) x2
Si (0.388, 0.073, 0.239) x2

Peak list (10 most intense, 15° ≤ 2θ ≤ 90°, low angle first)
hkl 1 2 0, 26.78 deg, d 3.329, I 35
hkl 2 0 -1, 28.66 deg, d 3.115, I 30
hkl 2 2 0, 34.48 deg, d 2.602, I 28
hkl 1 -1 3, 35.27 deg, d 2.545, I 100
hkl 1 2 3, 36.70 deg, d 2.449, I 32
hkl 0 1 4, 38.30 deg, d 2.350, I 28
hkl 1 3 2, 40.83 deg, d 2.210, I 53
hkl 3 0 1, 41.79 deg, d 2.161, I 31
hkl 3 2 -1, 47.28 deg, d 1.923, I 29
hkl 3 -1 2, 48.80 deg, d 1.866, I 31

=====

(4)
Simulated XRD peak list
Compound: Er2ZnIr
Radiation: Cu Kα X-rays
Structure: a crystal structure in the Materials Project, relaxed with PBE
Kinematic intensities with the Lorentz-polarization factor, no thermal factor.

Structure:
Cell lengths 6.910, 6.910, 6.910 Å; angles 90.00, 90.00, 90.00 degrees
Space group Fm-3m (No. 225)
Inequivalent atoms, fractional coordinates:
Er (0.250, 0.250, 0.250) x8
Zn (0.000, 0.000, 0.000) x4
Ir (0.000, 0.000, 0.500) x4

Peak list (10 most intense, 15° ≤ 2θ ≤ 90°, low angle first)
hkl 1 1 1, 22.28 deg, d 3.990, I 9
hkl 2 0 0, 25.78 deg, d 3.455, I 2
hkl 2 2 0, 36.79 deg, d 2.443, I 100
hkl 3 1 1, 43.43 deg, d 2.084, I 5
hkl 4 0 0, 53.01 deg, d 1.728, I 18
hkl 3 3 1, 58.19 deg, d 1.585, I 2
hkl 4 2 2, 66.26 deg, d 1.411, I 36
hkl 4 4 0, 78.26 deg, d 1.222, I 11
hkl 5 3 1, 82.60 deg, d 1.168, I 2
hkl 6 2 0, 89.75 deg, d 1.093, I 17

=====

(5)
Simulated XRD peak list
Compound: KO2
Radiation: Cu Kα X-rays
Structure: a crystal structure in the Materials Project, relaxed with PBE
Kinematic intensities with the Lorentz-polarization factor, no thermal factor.

Structure:
Cell lengths 6.204, 6.204, 6.204 Å; angles 90.00, 90.00, 90.00 degrees
Space group Pa-3 (No. 205)
Inequivalent atoms, fractional coordinates:
K (0.000, 0.000, 0.000) x4
O (0.063, 0.563, 0.937) x8

Peak list (10 most intense, 15° ≤ 2θ ≤ 90°, low angle first)
hkl 1 1 1, 24.86 deg, d 3.582, I 9
hkl 2 0 0, 28.78 deg, d 3.102, I 100
hkl 2 2 0, 41.16 deg, d 2.193, I 52
hkl 3 1 1, 48.68 deg, d 1.871, I 18
hkl 2 2 2, 51.00 deg, d 1.791, I 14
hkl 3 2 1, 55.42 deg, d 1.658, I 4
hkl 3 3 1, 65.59 deg, d 1.423, I 9
hkl 4 2 0, 67.52 deg, d 1.387, I 10
hkl 4 2 2, 75.00 deg, d 1.266, I 7
hkl 5 1 1, 80.44 deg, d 1.194, I 11

=====

(6)
Simulated XRD peak list
Compound: MnFe5N4
Radiation: Cu Kα X-rays
Structure: a crystal structure in the Materials Project, relaxed with PBE
Kinematic intensities with the Lorentz-polarization factor, no thermal factor.

Structure:
Cell lengths 5.898, 6.627, 4.616 Å; angles 90.00, 90.00, 90.00 degrees
Space group Pmmn (No. 59, origin choice 2)
Inequivalent atoms, fractional coordinates:
Mn (0.250, 0.250, 0.229) x2
Fe (0.018, 0.055, 0.749) x8
Fe (0.250, 0.750, 0.672) x2
N (0.026, 0.750, 0.967) x4
N (0.250, 0.001, 0.466) x4

Peak list (10 most intense, 15° ≤ 2θ ≤ 90°, low angle first)
hkl 2 0 0, 30.31 deg, d 2.949, I 20
hkl 2 1 1, 38.69 deg, d 2.327, I 100
hkl 0 0 2, 39.03 deg, d 2.308, I 57
hkl 2 2 0, 40.97 deg, d 2.203, I 77
hkl 0 3 1, 45.53 deg, d 1.992, I 93
hkl 2 0 2, 50.19 deg, d 1.818, I 14
hkl 2 2 2, 57.86 deg, d 1.594, I 80
hkl 4 0 0, 63.04 deg, d 1.475, I 22
hkl 4 3 1, 81.14 deg, d 1.185, I 25
hkl 2 5 1, 82.48 deg, d 1.169, I 31

=====

Copy entry 1 word for word.
Simulated XRD peak list
Compound: LaPmRu2
Radiation: Cu Kα X-rays
Structure: a crystal structure in the Materials Project, relaxed with PBE
Kinematic intensities with the Lorentz-polarization factor, no thermal factor.

Structure:
Cell lengths 7.055, 7.055, 7.055 Å; angles 90.00, 90.00, 90.00 degrees
Space group Fm-3m (No. 225)
Inequivalent atoms, fractional coordinates:
La (0.000, 0.000, 0.000) x4
Pm (0.000, 0.000, 0.500) x4
Ru (0.250, 0.250, 0.250) x8

Peak list (9 most intense, 15° ≤ 2θ ≤ 90°, low angle first)
hkl 2 0 0, 25.25 deg, d 3.528, I 3
hkl 2 2 0, 36.00 deg, d 2.494, I 100
hkl 2 2 2, 44.48 deg, d 2.037, I 1
hkl 4 0 0, 51.83 deg, d 1.764, I 17
hkl 4 2 0, 58.50 deg, d 1.578, I 1
hkl 4 2 2, 64.73 deg, d 1.440, I 35
hkl 4 4 0, 76.35 deg, d 1.247, I 11
hkl 6 0 0, 81.93 deg, d 1.176, I 1
hkl 6 2 0, 87.43 deg, d 1.116, I 16